# 1
The following is a simulated powder diffractogram of NaBrO2. It was derived from a PBE-relaxed structure, using Cu Kα, 1.54184 Å.
Lines closer than 0.1° are merged.

Top 10 peaks for 2θ = 10–90°, low angle first:
2θ = 16.26°, rel. 57, hkl 0 2 0
2θ = 21.34°, rel. 100, hkl 0 2 1
2θ = 22.53°, rel. 29, hkl 1 0 0
2θ = 23.93°, rel. 33, hkl 1 1 0
2θ = 26.69°, rel. 28, hkl 1 2 -1
2θ = 27.66°, rel. 89, hkl 1 0 -2
2θ = 32.06°, rel. 38, hkl 1 1 1
2θ = 32.25°, rel. 65, hkl 0 2 2
2θ = 35.76°, rel. 46, hkl 0 4 1
2θ = 42.82°, rel. 49, hkl 2 1 -1

Structural model:
a = 4.332 Å, b = 10.903 Å, c = 7.064 Å
α = 90.00°, β = 114.07°, γ = 90.00°
Space group P2_1/c (No. 14)
Asymmetric unit:
Na (0.046, 0.165, 0.054)
Br (0.343, 0.062, 0.714)
O (0.237, 0.525, 0.740)
O (0.373, 0.202, 0.848)

=====

# 2
The following is a simulated powder diffractogram of UGe2Ir2. It was derived from a PBE-relaxed structure, using Cu Kα, 1.54184 Å.
Lines closer than 0.1° are merged.

Top 10 peaks for 2θ = 10–90°, low angle first:
2θ = 31.35°, rel. 20, hkl 1 1 1
2θ = 33.96°, rel. 62, hkl 1 0 3
2θ = 34.96°, rel. 100, hkl 1 1 2
2θ = 43.02°, rel. 61, hkl 2 0 0
2θ = 47.02°, rel. 15, hkl 1 1 4
2θ = 49.78°, rel. 28, hkl 1 0 5
2θ = 55.91°, rel. 30, hkl 2 1 3
2θ = 62.48°, rel. 21, hkl 2 2 0
2θ = 67.87°, rel. 23, hkl 2 1 5
2θ = 73.64°, rel. 24, hkl 3 1 2

Structural model:
a = 4.205 Å, b = 4.205 Å, c = 10.174 Å
α = 90.00°, β = 90.00°, γ = 90.00°
Space group P4/nmm (No. 129, origin choice 2)
Asymmetric unit:
U (0.250, 0.250, 0.243)
Ge (0.250, 0.250, 0.633)
Ge (0.250, 0.750, 0.000)
Ir (0.250, 0.250, 0.869)
Ir (0.250, 0.750, 0.500)